CsTiPbI6: computed X-ray diffraction stick pattern (Cu Kα (λ = 1.5418 Å)), based on a DFT-relaxed cell (PBE, Alexandria).
Lines closer than 0.1° are merged.

Crystal structure
abc: 7.986 13.856 8.400
angles: 90.00 90.18 90.00
Space group C2 (No. 5)
Asymmetric unit:
Cs: 0.000 0.000 0.000 (multiplicity 2)
Ti: 0.000 0.333 0.500 (multiplicity 2)
Pb: 0.000 0.667 0.500 (multiplicity 2)
I: 0.129 0.481 0.700 (multiplicity 4)
I: 0.157 0.195 0.700 (multiplicity 4)
I: 0.214 0.825 0.699 (multiplicity 4)

The 10 most intense peaks (2θ from 15° to 90°), by angle:
- hkl 1 1 1, 16.59°, intensity 73
- hkl 2 0 -1, 24.67°, intensity 100
- hkl 1 1 -2, 24.79°, intensity 16
- hkl 2 2 0, 25.74°, intensity 15
- hkl 2 2 1, 27.88°, intensity 16
- hkl 1 3 2, 30.88°, intensity 97
- hkl 3 1 -1, 35.95°, intensity 45
- hkl 3 3 0, 39.04°, intensity 40
- hkl 1 3 -3, 39.25°, intensity 17
- hkl 1 3 -4, 48.97°, intensity 13